Tb7YIn4: theoretical X-ray powder pattern (a wavelength of 1.5418 Å), based on DFT lattice parameters and positions (PBE).
Kinematic intensities with the Lorentz-polarization factor, no thermal factor.

Top 8 peaks for 15° ≤ 2θ ≤ 90°, by angle:
2θ 28.4, I 50.6
2θ 29.8, I 51.9
2θ 30.4, I 39.4
2θ 31.2, I 19.9
2θ 31.6, I 100.0
2θ 33.2, I 47.9
2θ 36.2, I 84.2
2θ 43.0, I 32.9

Unit cell a=7.802 b=7.802 c=10.506 alpha=121.19 beta=121.19 gamma=42.62
Atoms (fractional coordinates):
Tb: 0.000 0.000 0.000
Tb: 0.220 0.220 0.661
Tb: 0.290 0.290 0.122
Tb: 0.437 0.437 0.604
Tb: 0.563 0.563 0.396
Tb: 0.710 0.710 0.878
Tb: 0.780 0.780 0.339
Y: 0.500 0.500 0.000
In: 0.060 0.060 0.756
In: 0.181 0.181 0.334
In: 0.819 0.819 0.666
In: 0.940 0.940 0.244

***

Ce8Hg2Os3: theoretical X-ray powder pattern (a wavelength of 1.5418 Å), based on DFT lattice parameters and positions (PBE).
Kinematic intensities with the Lorentz-polarization factor, no thermal factor.

Top 8 peaks for 15° ≤ 2θ ≤ 90°, by angle:
2θ 22.1, I 28.2
2θ 29.9, I 59.5
2θ 32.5, I 100.0
2θ 33.7, I 85.9
2θ 36.8, I 85.9
2θ 38.4, I 79.2
2θ 38.7, I 76.6
2θ 52.0, I 31.5

Unit cell a=8.037 b=4.693 c=8.899 alpha=90.00 beta=105.11 gamma=90.00
Atoms (fractional coordinates):
Ce: 0.071 0.000 0.366
Ce: 0.228 0.500 0.124
Ce: 0.242 0.500 0.560
Ce: 0.315 0.000 0.924
Ce: 0.685 0.000 0.076
Ce: 0.758 0.500 0.440
Ce: 0.772 0.500 0.876
Ce: 0.929 0.000 0.634
Hg: 0.468 0.000 0.331
Hg: 0.532 0.000 0.669
Os: 0.000 0.000 0.000
Os: 0.086 0.500 0.795
Os: 0.914 0.500 0.205

***

TlHgSe: theoretical X-ray powder pattern (a wavelength of 1.5418 Å), based on DFT lattice parameters and positions (PBE).
Kinematic intensities with the Lorentz-polarization factor, no thermal factor.

Top 8 peaks for 15° ≤ 2θ ≤ 90°, by angle:
2θ 16.3, I 20.7
2θ 25.8, I 23.0
2θ 25.9, I 45.4
2θ 26.1, I 22.4
2θ 28.5, I 100.0
2θ 32.9, I 18.3
2θ 38.8, I 31.9
2θ 40.7, I 38.8

Unit cell a=4.431 b=4.433 c=5.451 alpha=90.01 beta=90.69 gamma=90.18
Atoms (fractional coordinates):
Tl: 0.000 0.000 0.000
Hg: 0.500 0.500 0.344
Se: 0.500 0.500 0.831

***

Li3Mg3Ti6O16: theoretical X-ray powder pattern (a wavelength of 1.5418 Å), based on DFT lattice parameters and positions (PBE).
Kinematic intensities with the Lorentz-polarization factor, no thermal factor.

Top 8 peaks for 15° ≤ 2θ ≤ 90°, by angle:
2θ 18.1, I 83.0
2θ 23.5, I 42.6
2θ 35.1, I 100.0
2θ 42.6, I 58.3
2θ 42.7, I 28.4
2θ 56.4, I 33.0
2θ 61.9, I 56.0
2θ 61.9, I 27.9

Unit cell a=8.469 b=8.479 c=8.495 alpha=90.00 beta=90.07 gamma=90.00
Atoms (fractional coordinates):
Li: 0.125 0.000 0.374
Li: 0.249 0.878 0.000
Li: 0.373 0.253 0.873
Li: 0.627 0.753 0.127
Li: 0.751 0.378 0.000
Li: 0.875 0.500 0.626
Mg: 0.002 0.626 0.249
Mg: 0.252 0.375 0.496
Mg: 0.499 0.628 0.750
Mg: 0.501 0.128 0.250
Mg: 0.748 0.875 0.504
Mg: 0.998 0.126 0.751
Ti: 0.118 0.504 0.873
Ti: 0.120 0.742 0.630
Ti: 0.127 0.248 0.115
Ti: 0.365 0.007 0.628
Ti: 0.368 0.757 0.364
Ti: 0.384 0.501 0.117
Ti: 0.616 0.001 0.883
Ti: 0.632 0.257 0.636
Ti: 0.635 0.507 0.372
Ti: 0.873 0.748 0.885
Ti: 0.880 0.242 0.370
Ti: 0.882 0.004 0.127
O: 0.104 0.253 0.361
O: 0.108 0.022 0.125
O: 0.110 0.745 0.864
O: 0.125 0.267 0.888
O: 0.129 0.511 0.640
O: 0.139 0.491 0.115
O: 0.142 0.748 0.392
O: 0.145 0.991 0.625
O: 0.357 0.268 0.129
O: 0.362 0.506 0.895
O: 0.362 0.764 0.615
O: 0.375 0.736 0.146
O: 0.382 0.981 0.389
O: 0.386 0.513 0.363
O: 0.390 0.230 0.618
O: 0.395 0.000 0.856
O: 0.605 0.500 0.144
O: 0.610 0.730 0.382
O: 0.614 0.013 0.637
O: 0.618 0.481 0.611
O: 0.625 0.236 0.854
O: 0.638 0.006 0.105
O: 0.638 0.264 0.385
O: 0.643 0.768 0.871
O: 0.855 0.491 0.375
O: 0.858 0.248 0.608
O: 0.861 0.991 0.885
O: 0.871 0.011 0.360
O: 0.875 0.767 0.112
O: 0.890 0.245 0.136
O: 0.892 0.522 0.875
O: 0.896 0.753 0.639

***

Ba3H5F: theoretical X-ray powder pattern (a wavelength of 1.5418 Å), based on DFT lattice parameters and positions (PBE).
Kinematic intensities with the Lorentz-polarization factor, no thermal factor.

Top 8 peaks for 15° ≤ 2θ ≤ 90°, by angle:
2θ 23.1, I 28.5
2θ 24.0, I 47.9
2θ 26.3, I 80.3
2θ 26.8, I 100.0
2θ 28.8, I 49.9
2θ 40.3, I 30.1
2θ 44.2, I 26.3
2θ 50.8, I 26.7

Unit cell a=7.707 b=7.707 c=11.428 alpha=90.00 beta=90.00 gamma=148.02
Atoms (fractional coordinates):
Ba: 0.074 0.926 0.750
Ba: 0.377 0.623 0.563
Ba: 0.377 0.623 0.937
Ba: 0.623 0.377 0.063
Ba: 0.623 0.377 0.437
Ba: 0.926 0.074 0.250
H: 0.000 0.000 0.000
H: 0.000 0.000 0.500
H: 0.193 0.807 0.568
H: 0.193 0.807 0.932
H: 0.457 0.543 0.133
H: 0.457 0.543 0.367
H: 0.543 0.457 0.633
H: 0.543 0.457 0.867
H: 0.807 0.193 0.068
H: 0.807 0.193 0.432
F: 0.112 0.888 0.250
F: 0.888 0.112 0.750

***

LaTl3: theoretical X-ray powder pattern (a wavelength of 1.5418 Å), based on DFT lattice parameters and positions (PBE).
Kinematic intensities with the Lorentz-polarization factor, no thermal factor.

Top 8 peaks for 15° ≤ 2θ ≤ 90°, by angle:
2θ 29.0, I 46.3
2θ 33.6, I 100.0
2θ 36.9, I 21.0
2θ 37.5, I 20.2
2θ 50.8, I 13.5
2θ 51.3, I 12.8
2θ 53.6, I 14.6
2θ 62.9, I 17.5

Unit cell a=4.799 b=21.289 c=4.869 alpha=90.00 beta=90.00 gamma=90.00
Atoms (fractional coordinates):
La: 0.000 0.174 0.250
La: 0.000 0.826 0.750
La: 0.500 0.326 0.750
La: 0.500 0.674 0.250
Tl: 0.000 0.054 0.750
Tl: 0.000 0.325 0.250
Tl: 0.000 0.441 0.750
Tl: 0.000 0.559 0.250
Tl: 0.000 0.675 0.750
Tl: 0.000 0.946 0.250
Tl: 0.500 0.059 0.250
Tl: 0.500 0.175 0.750
Tl: 0.500 0.446 0.250
Tl: 0.500 0.554 0.750
Tl: 0.500 0.825 0.250
Tl: 0.500 0.941 0.750

***

TbGa4Os: theoretical X-ray powder pattern (a wavelength of 1.5418 Å), based on DFT lattice parameters and positions (PBE).
Kinematic intensities with the Lorentz-polarization factor, no thermal factor.

Top 8 peaks for 15° ≤ 2θ ≤ 90°, by angle:
2θ 21.7, I 27.4
2θ 22.9, I 37.0
2θ 31.8, I 49.0
2θ 34.4, I 53.9
2θ 35.8, I 100.0
2θ 41.2, I 69.3
2θ 43.6, I 25.8
2θ 44.2, I 45.6

Unit cell a=7.754 b=4.095 c=6.971 alpha=90.00 beta=90.00 gamma=90.00
Atoms (fractional coordinates):
Tb: 0.250 0.000 0.129
Tb: 0.750 0.000 0.871
Ga: 0.000 0.000 0.500
Ga: 0.065 0.500 0.825
Ga: 0.250 0.500 0.452
Ga: 0.435 0.500 0.825
Ga: 0.500 0.000 0.500
Ga: 0.565 0.500 0.175
Ga: 0.750 0.500 0.548
Ga: 0.935 0.500 0.175
Os: 0.250 0.000 0.703
Os: 0.750 0.000 0.297

***

Rb4MoCl6: theoretical X-ray powder pattern (a wavelength of 1.5418 Å), based on DFT lattice parameters and positions (PBE).
Kinematic intensities with the Lorentz-polarization factor, no thermal factor.

Top 8 peaks for 15° ≤ 2θ ≤ 90°, by angle:
2θ 16.5, I 92.8
2θ 21.1, I 80.2
2θ 22.9, I 90.0
2θ 23.2, I 79.7
2θ 23.4, I 89.5
2θ 24.3, I 65.3
2θ 27.5, I 100.0
2θ 33.0, I 58.9

Unit cell a=9.714 b=9.714 c=16.711 alpha=111.82 beta=111.82 gamma=39.02
Atoms (fractional coordinates):
Rb: 0.123 0.618 0.100
Rb: 0.220 0.780 0.500
Rb: 0.405 0.895 0.287
Rb: 0.409 0.958 0.024
Rb: 0.618 0.123 0.600
Rb: 0.780 0.220 0.000
Rb: 0.895 0.405 0.787
Rb: 0.958 0.409 0.524
Mo: 0.071 0.679 0.763
Mo: 0.679 0.071 0.263
Cl: 0.036 0.936 0.305
Cl: 0.137 0.637 0.621
Cl: 0.254 0.301 0.725
Cl: 0.301 0.254 0.225
Cl: 0.330 0.751 0.083
Cl: 0.454 0.899 0.489
Cl: 0.637 0.137 0.121
Cl: 0.747 0.936 0.386
Cl: 0.751 0.330 0.583
Cl: 0.899 0.454 0.989
Cl: 0.936 0.036 0.805
Cl: 0.936 0.747 0.886

***

Rb2TcIrI6: theoretical X-ray powder pattern (a wavelength of 1.5418 Å), based on DFT lattice parameters and positions (PBE).
Kinematic intensities with the Lorentz-polarization factor, no thermal factor.

Top 8 peaks for 15° ≤ 2θ ≤ 90°, by angle:
2θ 15.6, I 76.1
2θ 27.2, I 81.2
2θ 31.4, I 50.7
2θ 31.6, I 100.0
2θ 45.1, I 73.1
2θ 45.3, I 36.3
2θ 56.1, I 37.9
2θ 74.9, I 32.2

Unit cell a=8.034 b=8.034 c=8.034 alpha=120.18 beta=120.18 gamma=89.70
Atoms (fractional coordinates):
Rb: 0.250 0.750 0.500
Rb: 0.750 0.250 0.500
Tc: 0.000 0.000 0.000
Ir: 0.500 0.500 0.000
I: 0.255 0.255 0.510
I: 0.255 0.745 0.000
I: 0.256 0.256 0.000
I: 0.744 0.744 0.000
I: 0.745 0.255 0.000
I: 0.745 0.745 0.490

***

Cd3ClF5: theoretical X-ray powder pattern (a wavelength of 1.5418 Å), based on DFT lattice parameters and positions (PBE).
Kinematic intensities with the Lorentz-polarization factor, no thermal factor.

Top 8 peaks for 15° ≤ 2θ ≤ 90°, by angle:
2θ 22.6, I 86.2
2θ 24.4, I 100.0
2θ 29.7, I 78.7
2θ 29.8, I 68.3
2θ 44.3, I 33.1
2θ 44.6, I 31.3
2θ 46.2, I 48.7
2θ 46.6, I 29.8

Unit cell a=5.403 b=3.633 c=15.944 alpha=90.00 beta=94.25 gamma=90.00
Atoms (fractional coordinates):
Cd: 0.000 0.000 0.000
Cd: 0.034 0.000 0.656
Cd: 0.464 0.500 0.845
Cd: 0.500 0.500 0.500
Cd: 0.536 0.500 0.155
Cd: 0.966 0.000 0.344
Cl: 0.272 0.000 0.225
Cl: 0.728 0.000 0.775
F: 0.157 0.500 0.410
F: 0.213 0.500 0.723
F: 0.227 0.500 0.048
F: 0.275 0.000 0.897
F: 0.334 0.000 0.564
F: 0.666 0.000 0.436
F: 0.725 0.000 0.103
F: 0.773 0.500 0.952
F: 0.787 0.500 0.277
F: 0.843 0.500 0.590

***

Tm4ZnSe: theoretical X-ray powder pattern (a wavelength of 1.5418 Å), based on DFT lattice parameters and positions (PBE).
Kinematic intensities with the Lorentz-polarization factor, no thermal factor.

Top 8 peaks for 15° ≤ 2θ ≤ 90°, by angle:
2θ 26.6, I 18.2
2θ 32.1, I 100.0
2θ 34.3, I 15.0
2θ 35.1, I 22.2
2θ 36.2, I 53.2
2θ 43.2, I 16.8
2θ 54.6, I 17.9
2θ 67.4, I 16.1

Unit cell a=5.981 b=6.413 c=8.381 alpha=90.00 beta=110.54 gamma=90.00
Atoms (fractional coordinates):
Tm: 0.014 0.000 0.291
Tm: 0.014 0.500 0.291
Tm: 0.400 0.250 0.068
Tm: 0.434 0.250 0.643
Tm: 0.566 0.750 0.357
Tm: 0.600 0.750 0.932
Tm: 0.986 0.000 0.709
Tm: 0.986 0.500 0.709
Zn: 0.305 0.750 0.586
Zn: 0.695 0.250 0.414
Se: 0.161 0.750 0.036
Se: 0.839 0.250 0.964

***

LaTb2Sm2Tm: theoretical X-ray powder pattern (a wavelength of 1.5418 Å), based on DFT lattice parameters and positions (PBE).
Kinematic intensities with the Lorentz-polarization factor, no thermal factor.

Top 8 peaks for 15° ≤ 2θ ≤ 90°, by angle:
2θ 31.2, I 93.4
2θ 31.4, I 100.0
2θ 44.8, I 34.0
2θ 55.8, I 35.4
2θ 55.9, I 19.0
2θ 61.9, I 28.8
2θ 65.5, I 11.5
2θ 79.8, I 13.5

Unit cell a=7.050 b=5.693 c=9.875 alpha=90.00 beta=90.00 gamma=90.00
Atoms (fractional coordinates):
La: 0.250 0.000 0.153
La: 0.750 0.000 0.847
Tb: 0.250 0.000 0.824
Tb: 0.250 0.500 0.340
Tb: 0.750 0.000 0.176
Tb: 0.750 0.500 0.660
Sm: 0.000 0.000 0.500
Sm: 0.250 0.500 0.678
Sm: 0.500 0.000 0.500
Sm: 0.750 0.500 0.322
Tm: 0.000 0.500 0.000
Tm: 0.500 0.500 0.000